(1)
The following is a computed XRD peak list of BeAlSiHO5. It was derived from a crystal structure in the Materials Project, relaxed with PBE, using a wavelength of 1.5418 Å.
Intensities are scaled so that the largest is 100.

The 6 most intense peaks (10 to 80 degrees two-theta), low angle first:
two_theta  intensity  (hkl)
12.21  100.0  0 2 0
22.89  39.5  1 2 0
27.37  56.0  1 2 -1
31.88  54.7  1 2 1
34.90  32.3  1 4 -1
36.30  32.0  0 5 1

Structural model:
```
BeAlSiHO5
1.0
4.679 0.000 0.000
0.000 14.494 0.000
-0.865 0.000 4.751
Be Al Si H O
4 4 4 4 20
direct
0.043 0.199 0.325
0.043 0.301 0.825
0.957 0.699 0.175
0.957 0.801 0.675
0.458 0.555 0.249
0.458 0.945 0.749
0.542 0.055 0.251
0.542 0.445 0.751
0.038 0.600 0.677
0.038 0.900 0.177
0.962 0.100 0.823
0.962 0.400 0.323
0.486 0.705 0.033
0.486 0.795 0.533
0.514 0.205 0.467
0.514 0.295 0.967
0.026 0.700 0.845
0.026 0.800 0.345
0.154 0.624 0.380
0.154 0.876 0.880
0.265 0.533 0.882
0.265 0.967 0.382
0.287 0.052 0.900
0.287 0.448 0.400
0.376 0.168 0.338
0.376 0.332 0.838
0.624 0.668 0.162
0.624 0.832 0.662
0.713 0.552 0.600
0.713 0.948 0.100
0.735 0.033 0.618
0.735 0.467 0.118
0.846 0.124 0.120
0.846 0.376 0.620
0.974 0.200 0.655
0.974 0.300 0.155
```

---

(2)
The following is a computed XRD peak list of BeAlIr2. It was derived from a crystal structure in the Materials Project, relaxed with PBE, using a wavelength of 1.5418 Å.
Intensities are scaled so that the largest is 100.

The 6 most intense peaks (10 to 80 degrees two-theta), low angle first:
two_theta  intensity  (hkl)
26.40  0.7  1 1 1
30.57  92.5  2 0 0
43.78  100.0  2 2 0
54.34  25.4  2 2 2
63.65  16.6  4 0 0
72.25  32.8  4 2 0

Structural model:
```
BeAlIr2
1.0
5.848 0.000 0.000
0.000 5.848 0.000
0.000 0.000 5.848
Be Al Ir
4 4 8
direct
0.000 0.000 0.000
0.000 0.500 0.500
0.500 0.000 0.500
0.500 0.500 0.000
0.000 0.000 0.500
0.000 0.500 0.000
0.500 0.000 0.000
0.500 0.500 0.500
0.250 0.250 0.250
0.250 0.250 0.750
0.250 0.750 0.250
0.250 0.750 0.750
0.750 0.250 0.250
0.750 0.250 0.750
0.750 0.750 0.250
0.750 0.750 0.750
```